The following is a computed PXRD pattern of Hf2ScGa. It was derived from a structure optimized by DFT (PBE), using CuKα.

Top 12 peaks for 2θ = 5–70°, sorted by position:
| 2θ (°) | Rel. int. | h k l |
| --- | --- | --- |
| 8.9 | 100 | 0 0 1 |
| 33.2 | 59 | 1 1 -2 |
| 36.1 | 18 | 0 0 4 |
| 37.9 | 66 | 1 1 2 |
| 43.3 | 29 | 0 2 0 |
| 44.2 | 7 | 2 0 0 |
| 45.5 | 6 | 0 0 5 |
| 57.5 | 19 | 2 0 -5 |
| 59.9 | 6 | 1 1 -6 |
| 62.9 | 9 | 2 2 -1 |
| 64.6 | 8 | 2 0 4 |
| 69.0 | 10 | 1 1 6 |

Structure:
Unit cell a=4.184 b=4.179 c=10.181 alpha=90.00 beta=101.82 gamma=90.00
Space group P2_1/m (No. 11)
Inequivalent atoms, fractional coordinates:
Hf 0.057 0.250 0.114
Hf 0.441 0.250 0.882
Sc 0.308 0.750 0.612
Ga 0.162 0.750 0.327

***

The following is a computed PXRD pattern of Th4InRe. It was derived from a structure optimized by DFT (PBE), using CuKα.

Top 12 peaks for 2θ = 5–70°, sorted by position:
| 2θ (°) | Rel. int. | h k l |
| --- | --- | --- |
| 11.8 | 14 | 1 0 0 |
| 29.1 | 11 | 0 0 2 |
| 30.3 | 100 | 2 1 1 |
| 33.7 | 33 | 1 1 2 |
| 37.9 | 65 | 3 1 0 |
| 40.7 | 9 | 3 1 1 |
| 52.4 | 35 | 2 1 3 |
| 54.7 | 8 | 4 2 0 |
| 57.5 | 12 | 4 0 2 |
| 60.3 | 25 | 0 0 4 |
| 69.1 | 13 | 5 2 1 |
| 69.7 | 8 | 5 0 2 |

Structure:
Unit cell a=7.510 b=7.510 c=6.139 alpha=90.00 beta=90.00 gamma=90.00
Space group P4/mcc (No. 124)
Inequivalent atoms, fractional coordinates:
Th 0.140 0.318 0.000
In 0.500 0.500 0.250
Re 0.000 0.000 0.250

***

The following is a computed PXRD pattern of La2ScGa3Rh4. It was derived from a structure optimized by DFT (PBE), using CuKα.

Top 12 peaks for 2θ = 5–70°, sorted by position:
| 2θ (°) | Rel. int. | h k l |
| --- | --- | --- |
| 8.2 | 17 | 0 0 1 |
| 29.5 | 16 | 1 1 0 |
| 32.5 | 58 | 1 0 3 |
| 34.0 | 100 | 1 1 2 |
| 39.5 | 10 | 1 0 4 |
| 42.2 | 62 | 2 0 0 |
| 45.0 | 20 | 1 1 4 |
| 47.1 | 26 | 1 0 5 |
| 54.3 | 27 | 2 1 3 |
| 59.8 | 8 | 1 1 6 |
| 61.3 | 20 | 2 2 0 |
| 65.1 | 19 | 2 1 5 |

Structure:
Unit cell a=4.280 b=4.280 c=10.795 alpha=90.00 beta=90.00 gamma=90.00
Space group P-4m2 (No. 115)
Inequivalent atoms, fractional coordinates:
La 0.000 0.500 0.230
Sc 0.000 0.000 0.500
Ga 0.000 0.500 0.881
Ga 0.500 0.500 0.500
Rh 0.000 0.000 0.000
Rh 0.000 0.500 0.644
Rh 0.500 0.500 0.000

***

The following is a computed PXRD pattern of Ac6Dy. It was derived from a structure optimized by DFT (PBE), using CuKα.

Top 12 peaks for 2θ = 5–70°, sorted by position:
| 2θ (°) | Rel. int. | h k l |
| --- | --- | --- |
| 26.0 | 100 | 2 0 1 |
| 27.8 | 71 | 1 1 3 |
| 28.6 | 40 | 0 0 4 |
| 28.9 | 67 | 2 1 1 |
| 31.5 | 86 | 2 1 2 |
| 33.1 | 37 | 2 0 3 |
| 35.6 | 29 | 2 2 0 |
| 39.9 | 27 | 3 1 0 |
| 46.2 | 36 | 2 1 5 |
| 49.9 | 56 | 3 1 4 |
| 55.0 | 34 | 4 1 2 |
| 59.2 | 36 | 3 3 3 |

Structure:
Unit cell a=7.141 b=7.141 c=12.473 alpha=90.00 beta=90.00 gamma=90.00
Space group P4/nbm (No. 125, origin choice 2)
Inequivalent atoms, fractional coordinates:
Ac 0.078 0.578 0.137
Ac 0.250 0.250 0.362
Dy 0.250 0.750 0.500

***

The following is a computed PXRD pattern of LaGa5Ru2. It was derived from a structure optimized by DFT (PBE), using CuKα.

Top 12 peaks for 2θ = 5–70°, sorted by position:
| 2θ (°) | Rel. int. | h k l |
| --- | --- | --- |
| 25.0 | 15 | 0 2 0 |
| 28.8 | 29 | 0 1 3 |
| 30.7 | 55 | 1 1 2 |
| 34.1 | 68 | 1 0 3 |
| 34.6 | 100 | 1 2 1 |
| 43.3 | 65 | 0 2 4 |
| 43.4 | 16 | 1 1 4 |
| 44.2 | 28 | 1 3 0 |
| 44.7 | 44 | 2 0 0 |
| 47.8 | 34 | 1 3 2 |
| 56.2 | 17 | 1 2 5 |
| 63.9 | 40 | 2 2 4 |

Structure:
Unit cell a=4.058 b=7.119 c=10.340 alpha=90.00 beta=90.00 gamma=90.00
Space group Immm (No. 71)
Inequivalent atoms, fractional coordinates:
La 0.000 0.000 0.000
Ga 0.000 0.195 0.350
Ga 0.000 0.500 0.000
Ru 0.000 0.500 0.234

***

The following is a computed PXRD pattern of Tb5Ce2N5. It was derived from a structure optimized by DFT (PBE), using CuKα.

Top 12 peaks for 2θ = 5–70°, sorted by position:
| 2θ (°) | Rel. int. | h k l |
| --- | --- | --- |
| 29.1 | 45 | 1 1 1 |
| 29.7 | 100 | 2 0 -4 |
| 30.2 | 30 | 1 1 -2 |
| 30.6 | 89 | 4 0 -1 |
| 31.4 | 91 | 2 0 3 |
| 32.6 | 55 | 1 1 2 |
| 34.2 | 37 | 1 1 -3 |
| 35.8 | 28 | 3 1 0 |
| 36.0 | 37 | 3 1 -2 |
| 38.1 | 25 | 3 1 1 |
| 38.5 | 33 | 3 1 -3 |
| 54.1 | 24 | 0 2 0 |

Structure:
Unit cell a=11.702 b=3.393 c=12.400 alpha=90.00 beta=107.18 gamma=90.00
Space group C2/m (No. 12)
Inequivalent atoms, fractional coordinates:
Tb 0.000 0.000 0.000
Tb 0.150 0.000 0.560
Tb 0.222 0.000 0.879
Ce 0.053 0.500 0.296
N 0.000 0.500 0.500
N 0.123 0.500 0.941
N 0.178 0.000 0.384